[1]
Diffraction record for LiSbN2. The powder XRD pattern is theoretical, not measured: it uses the PBE geometry in the Materials Project and Cu Kα X-rays.
Intensities are scaled so that the largest is 100.

Top 12 peaks for 10 to 80 degrees two-theta, most intense first:
Position (°2θ), d [Å], I_rel
20.6, 4.312, 100
32.4, 2.760, 76
42.6, 2.124, 28
34.6, 2.595, 25
54.9, 1.673, 22
63.6, 1.464, 21
51.4, 1.778, 17
36.8, 2.441, 16
53.1, 1.726, 12
66.8, 1.400, 9
66.5, 1.406, 8
53.2, 1.721, 7

Cell and atoms:
```
data_LiSbN2
_symmetry_space_group_name_H-M 'P 1'
_symmetry_Int_Tables_number 1
_symmetry_space_group_name_Hall 'P 1'
_cell_length_a 4.882
_cell_length_b 4.882
_cell_length_c 9.193
_cell_angle_alpha 90.00
_cell_angle_beta 90.00
_cell_angle_gamma 90.00
loop_
_atom_site_label
_atom_site_fract_x
_atom_site_fract_y
_atom_site_fract_z
_atom_site_occupancy
Li1 0.000 0.000 0.000 1
Li2 0.000 0.500 0.250 1
Li3 0.500 0.000 0.750 1
Li4 0.500 0.500 0.500 1
Sb1 0.000 0.000 0.500 1
Sb2 0.000 0.500 0.750 1
Sb3 0.500 0.000 0.250 1
Sb4 0.500 0.500 0.000 1
N1 0.231 0.750 0.625 1
N2 0.250 0.231 0.375 1
N3 0.250 0.269 0.875 1
N4 0.269 0.750 0.125 1
N5 0.731 0.250 0.125 1
N6 0.750 0.731 0.875 1
N7 0.750 0.769 0.375 1
N8 0.769 0.250 0.625 1
```

---

[2]
Diffraction record for LiSbN2. The powder XRD pattern is theoretical, not measured: it uses the PBE geometry in the Materials Project and Cu Kα X-rays.
Intensities are scaled so that the largest is 100.

Top 12 peaks for 10 to 80 degrees two-theta, most intense first:
Position (°2θ), d [Å], I_rel
20.7, 4.290, 100
20.0, 4.449, 82
34.3, 2.616, 70
32.9, 2.724, 37
54.4, 1.687, 33
35.1, 2.554, 32
30.0, 2.982, 31
38.8, 2.323, 27
25.9, 3.446, 27
52.0, 1.758, 24
59.6, 1.551, 23
65.0, 1.434, 20

Cell and atoms:
```
data_LiSbN2
_symmetry_space_group_name_H-M 'P 1'
_symmetry_Int_Tables_number 1
_symmetry_space_group_name_Hall 'P 1'
_cell_length_a 5.784
_cell_length_b 6.961
_cell_length_c 5.448
_cell_angle_alpha 90.00
_cell_angle_beta 90.00
_cell_angle_gamma 90.00
loop_
_atom_site_label
_atom_site_fract_x
_atom_site_fract_y
_atom_site_fract_z
_atom_site_occupancy
Li1 0.083 0.125 0.000 1
Li2 0.417 0.625 0.500 1
Li3 0.583 0.375 0.000 1
Li4 0.917 0.875 0.500 1
Sb1 0.081 0.626 0.004 1
Sb2 0.419 0.126 0.504 1
Sb3 0.581 0.874 0.004 1
Sb4 0.919 0.374 0.504 1
N1 0.065 0.615 0.374 1
N2 0.088 0.135 0.390 1
N3 0.412 0.635 0.890 1
N4 0.435 0.115 0.874 1
N5 0.565 0.885 0.374 1
N6 0.588 0.365 0.390 1
N7 0.912 0.865 0.890 1
N8 0.935 0.385 0.874 1
```

---

[3]
Diffraction record for Li6SeN4. The powder XRD pattern is theoretical, not measured: it uses the PBE geometry in the Materials Project and Cu Kα X-rays.
Intensities are scaled so that the largest is 100.

Top 12 peaks for 10 to 80 degrees two-theta, most intense first:
Position (°2θ), d [Å], I_rel
22.7, 3.926, 100
19.1, 4.643, 57
35.6, 2.519, 45
27.2, 3.283, 22
45.4, 1.998, 20
54.5, 1.685, 19
41.7, 2.166, 14
58.3, 1.584, 14
65.4, 1.427, 13
32.8, 2.727, 13
61.2, 1.515, 12
56.0, 1.642, 11

Cell and atoms:
```
data_Li6SeN4
_symmetry_space_group_name_H-M 'P 1'
_symmetry_Int_Tables_number 1
_symmetry_space_group_name_Hall 'P 1'
_cell_length_a 6.566
_cell_length_b 6.566
_cell_length_c 4.897
_cell_angle_alpha 90.00
_cell_angle_beta 90.00
_cell_angle_gamma 90.00
loop_
_atom_site_label
_atom_site_fract_x
_atom_site_fract_y
_atom_site_fract_z
_atom_site_occupancy
Li1 0.037 0.537 0.250 1
Li2 0.037 0.963 0.250 1
Li3 0.250 0.250 0.142 1
Li4 0.250 0.250 0.642 1
Li5 0.463 0.537 0.250 1
Li6 0.463 0.963 0.250 1
Li7 0.537 0.037 0.750 1
Li8 0.537 0.463 0.750 1
Li9 0.750 0.750 0.358 1
Li10 0.750 0.750 0.858 1
Li11 0.963 0.037 0.750 1
Li12 0.963 0.463 0.750 1
Se1 0.250 0.750 0.750 1
Se2 0.750 0.250 0.250 1
N1 0.015 0.750 0.561 1
N2 0.250 0.515 0.939 1
N3 0.250 0.985 0.939 1
N4 0.485 0.750 0.561 1
N5 0.515 0.250 0.439 1
N6 0.750 0.015 0.061 1
N7 0.750 0.485 0.061 1
N8 0.985 0.250 0.439 1
```

---

[4]
Diffraction record for Sr2LiSiN3. The powder XRD pattern is theoretical, not measured: it uses the PBE geometry in the Materials Project and Cu Kα X-rays.
Intensities are scaled so that the largest is 100.

Top 12 peaks for 10 to 80 degrees two-theta, most intense first:
Position (°2θ), d [Å], I_rel
26.1, 3.413, 100
32.8, 2.727, 49
33.5, 2.675, 44
33.3, 2.691, 44
33.0, 2.715, 43
13.0, 6.815, 42
48.0, 1.897, 36
34.5, 2.602, 32
48.8, 1.865, 22
40.9, 2.207, 19
11.3, 7.807, 17
22.8, 3.904, 15

Cell and atoms:
```
data_Sr2LiSiN3
_symmetry_space_group_name_H-M 'P 1'
_symmetry_Int_Tables_number 1
_symmetry_space_group_name_Hall 'P 1'
_cell_length_a 7.588
_cell_length_b 7.588
_cell_length_c 9.454
_cell_angle_alpha 113.58
_cell_angle_beta 113.58
_cell_angle_gamma 89.65
loop_
_atom_site_label
_atom_site_fract_x
_atom_site_fract_y
_atom_site_fract_z
_atom_site_occupancy
Sr1 0.032 0.032 0.286 1
Sr2 0.062 0.532 0.352 1
Sr3 0.468 0.938 0.648 1
Sr4 0.475 0.452 0.657 1
Sr5 0.534 0.045 0.321 1
Sr6 0.548 0.525 0.343 1
Sr7 0.955 0.466 0.679 1
Sr8 0.968 0.968 0.714 1
Li1 0.332 0.348 0.953 1
Li2 0.652 0.668 0.047 1
Li3 0.668 0.140 0.089 1
Li4 0.860 0.332 0.911 1
Si1 0.178 0.645 0.101 1
Si2 0.179 0.195 0.097 1
Si3 0.355 0.822 0.899 1
Si4 0.805 0.821 0.903 1
N1 0.152 0.395 0.051 1
N2 0.211 0.712 0.678 1
N3 0.288 0.789 0.322 1
N4 0.290 0.277 0.321 1
N5 0.323 0.069 0.993 1
N6 0.333 0.667 0.000 1
N7 0.605 0.848 0.949 1
N8 0.692 0.195 0.653 1
N9 0.723 0.710 0.679 1
N10 0.805 0.308 0.347 1
N11 0.931 0.677 0.007 1
N12 0.943 0.057 0.000 1
```